[1]
For Ce3P, a GGA-PBE-relaxed structure gives the computed X-ray diffraction stick pattern in this record (Cu Ka).
Kinematic intensities with the Lorentz-polarization factor, no thermal factor.

```
Ce3P
1.0
3.708 0.000 0.000
0.000 9.556 0.000
0.000 0.000 5.450
Ce P
6 2
direct
0.000 0.000 0.000 Ce
0.000 0.210 0.360 Ce
0.000 0.790 0.360 Ce
0.500 0.290 0.860 Ce
0.500 0.500 0.500 Ce
0.500 0.710 0.860 Ce
0.000 0.500 0.086 P
0.500 0.000 0.586 P
```

Top 12 peaks for 15 to 90 degrees two-theta, in order of falling intensity:
34.77°, rel. 1000; 32.56°, rel. 371; 38.02°, rel. 327; 29.13°, rel. 324; 25.77°, rel. 259; 56.40°, rel. 162; 32.87°, rel. 155; 53.97°, rel. 152; 37.65°, rel. 152; 63.77°, rel. 142; 49.14°, rel. 142; 50.48°, rel. 139

[2]
For CePa4P6, a GGA-PBE-relaxed structure gives the computed X-ray diffraction stick pattern in this record (Cu Ka).
Kinematic intensities with the Lorentz-polarization factor, no thermal factor.

```
CePa4P6
1.0
5.475 3.161 4.524
-5.475 3.161 4.524
0.000 -6.322 4.524
Ce Pa P
2 8 12
direct
0.000 0.000 0.000 Ce
0.500 0.500 0.500 Ce
0.139 0.750 0.361 Pa
0.250 0.250 0.250 Pa
0.250 0.639 0.861 Pa
0.361 0.139 0.750 Pa
0.639 0.861 0.250 Pa
0.750 0.361 0.139 Pa
0.750 0.750 0.750 Pa
0.861 0.250 0.639 Pa
0.065 0.914 0.668 P
0.086 0.332 0.935 P
0.168 0.414 0.565 P
0.332 0.935 0.086 P
0.414 0.565 0.168 P
0.435 0.832 0.586 P
0.565 0.168 0.414 P
0.586 0.435 0.832 P
0.668 0.065 0.914 P
0.832 0.586 0.435 P
0.914 0.668 0.065 P
0.935 0.086 0.332 P
```

Top 12 peaks for 15 to 90 degrees two-theta, in order of falling intensity:
28.23°, rel. 1000; 25.54°, rel. 841; 32.45°, rel. 561; 34.74°, rel. 473; 49.79°, rel. 386; 22.88°, rel. 326; 38.43°, rel. 311; 36.46°, rel. 305; 43.71°, rel. 279; 49.94°, rel. 256; 75.57°, rel. 211; 49.55°, rel. 203

[3]
For Ce2ThPaP4, a GGA-PBE-relaxed structure gives the computed X-ray diffraction stick pattern in this record (Cu Ka).
Kinematic intensities with the Lorentz-polarization factor, no thermal factor.

```
Ce2ThPaP4
1.0
7.050 0.000 0.000
0.000 4.071 0.000
-2.350 0.000 6.647
Ce Th Pa P
2 1 1 4
direct
0.000 0.000 0.000 Ce
0.500 0.500 0.000 Ce
0.000 0.500 0.500 Th
0.500 0.000 0.500 Pa
0.258 0.000 0.749 P
0.259 0.500 0.256 P
0.741 0.500 0.744 P
0.742 0.000 0.251 P
```

Top 12 peaks for 15 to 90 degrees two-theta, in order of falling intensity:
31.07°, rel. 1000; 26.83°, rel. 957; 44.52°, rel. 741; 52.74°, rel. 479; 73.59°, rel. 338; 55.28°, rel. 261; 82.01°, rel. 257; 71.43°, rel. 196; 88.20°, rel. 157; 64.78°, rel. 122; 25.66°, rel. 61; 33.94°, rel. 30

[4]
For Ce3ZrPa2P6, a GGA-PBE-relaxed structure gives the computed X-ray diffraction stick pattern in this record (Cu Ka).
Kinematic intensities with the Lorentz-polarization factor, no thermal factor.

```
Ce3ZrPa2P6
1.0
3.443 -5.963 0.000
3.443 5.963 0.000
-2.300 0.000 6.530
Ce Zr Pa P
3 1 2 6
direct
0.000 0.000 0.000 Ce
0.332 0.668 0.000 Ce
0.668 0.332 0.000 Ce
0.500 0.500 0.500 Zr
0.166 0.834 0.500 Pa
0.834 0.166 0.500 Pa
0.094 0.422 0.264 P
0.253 0.253 0.738 P
0.422 0.094 0.264 P
0.578 0.906 0.736 P
0.747 0.747 0.262 P
0.906 0.578 0.736 P
```

Top 12 peaks for 15 to 90 degrees two-theta, in order of falling intensity:
31.77°, rel. 1000; 27.46°, rel. 657; 45.45°, rel. 366; 45.64°, rel. 363; 54.02°, rel. 251; 27.31°, rel. 237; 56.68°, rel. 190; 75.33°, rel. 164; 75.61°, rel. 164; 84.27°, rel. 125; 66.38°, rel. 118; 53.84°, rel. 110

[5]
For Ce3Zr2PaP6, a GGA-PBE-relaxed structure gives the computed X-ray diffraction stick pattern in this record (Cu Ka).
Kinematic intensities with the Lorentz-polarization factor, no thermal factor.

```
Ce3Zr2PaP6
1.0
3.409 -5.907 0.000
3.409 5.907 0.000
-2.277 0.000 6.463
Ce Zr Pa P
3 2 1 6
direct
0.000 0.000 0.000 Ce
0.335 0.665 0.000 Ce
0.665 0.335 0.000 Ce
0.167 0.833 0.500 Zr
0.833 0.167 0.500 Zr
0.500 0.500 0.500 Pa
0.082 0.422 0.266 P
0.238 0.238 0.732 P
0.422 0.082 0.266 P
0.578 0.918 0.734 P
0.762 0.762 0.268 P
0.918 0.578 0.734 P
```

Top 12 peaks for 15 to 90 degrees two-theta, in order of falling intensity:
32.09°, rel. 1000; 27.73°, rel. 581; 46.11°, rel. 359; 45.94°, rel. 359; 54.61°, rel. 281; 27.59°, rel. 216; 57.28°, rel. 187; 76.48°, rel. 159; 76.23°, rel. 158; 85.30°, rel. 121; 67.12°, rel. 114; 54.44°, rel. 97

[6]
For CeP2Pd, a GGA-PBE-relaxed structure gives the computed X-ray diffraction stick pattern in this record (Cu Ka).
Kinematic intensities with the Lorentz-polarization factor, no thermal factor.

```
CeP2Pd
1.0
4.064 0.000 0.000
0.000 4.064 0.000
0.000 0.000 18.951
Ce P Pd
4 8 4
direct
0.000 0.483 0.000 Ce
0.000 0.517 0.500 Ce
0.483 0.000 0.750 Ce
0.517 0.000 0.250 Ce
0.015 0.435 0.307 P
0.015 0.565 0.193 P
0.435 0.015 0.443 P
0.435 0.985 0.057 P
0.565 0.015 0.557 P
0.565 0.985 0.943 P
0.985 0.435 0.693 P
0.985 0.565 0.807 P
0.479 0.479 0.875 Pd
0.479 0.521 0.625 Pd
0.521 0.479 0.125 Pd
0.521 0.521 0.375 Pd
```

Top 12 peaks for 15 to 90 degrees two-theta, in order of falling intensity:
36.57°, rel. 1000; 36.01°, rel. 477; 23.83°, rel. 404; 44.60°, rel. 380; 28.95°, rel. 345; 21.87°, rel. 328; 58.60°, rel. 210; 76.86°, rel. 201; 53.34°, rel. 189; 59.98°, rel. 140; 71.99°, rel. 138; 37.98°, rel. 127

[7]
For Ce4P5Pd, a GGA-PBE-relaxed structure gives the computed X-ray diffraction stick pattern in this record (Cu Ka).
Kinematic intensities with the Lorentz-polarization factor, no thermal factor.

```
Ce4P5Pd
1.0
2.035 1.175 15.343
-2.035 1.175 15.343
0.000 -2.349 15.343
Ce P Pd
4 5 1
direct
0.110 0.110 0.110 Ce
0.297 0.297 0.297 Ce
0.703 0.703 0.703 Ce
0.890 0.890 0.890 Ce
0.000 0.000 0.000 P
0.191 0.191 0.191 P
0.406 0.406 0.406 P
0.594 0.594 0.594 P
0.809 0.809 0.809 P
0.500 0.500 0.500 Pd
```

Top 12 peaks for 15 to 90 degrees two-theta, in order of falling intensity:
31.99°, rel. 1000; 27.09°, rel. 679; 44.53°, rel. 476; 55.87°, rel. 198; 47.17°, rel. 176; 74.11°, rel. 176; 42.09°, rel. 162; 54.08°, rel. 143; 29.10°, rel. 130; 72.32°, rel. 124; 52.91°, rel. 112; 28.74°, rel. 104

[8]
For CeP4Pd6, a GGA-PBE-relaxed structure gives the computed X-ray diffraction stick pattern in this record (Cu Ka).
Kinematic intensities with the Lorentz-polarization factor, no thermal factor.

```
CeP4Pd6
1.0
-3.301 3.301 4.317
3.301 -3.301 4.317
3.301 3.301 -4.317
Ce P Pd
1 4 6
direct
0.000 0.000 0.000 Ce
0.151 0.151 0.567 P
0.416 0.849 0.000 P
0.584 0.584 0.433 P
0.849 0.416 0.000 P
0.000 0.500 0.500 Pd
0.210 0.509 0.000 Pd
0.491 0.491 0.701 Pd
0.500 0.000 0.500 Pd
0.509 0.210 0.000 Pd
0.790 0.790 0.299 Pd
```

Top 12 peaks for 15 to 90 degrees two-theta, in order of falling intensity:
32.04°, rel. 1000; 34.19°, rel. 709; 33.98°, rel. 697; 44.11°, rel. 562; 50.52°, rel. 513; 42.39°, rel. 508; 38.57°, rel. 408; 20.57°, rel. 286; 28.15°, rel. 282; 43.34°, rel. 265; 67.00°, rel. 199; 72.03°, rel. 187

[9]
For CePuP2Pd2, a GGA-PBE-relaxed structure gives the computed X-ray diffraction stick pattern in this record (Cu Ka).
Kinematic intensities with the Lorentz-polarization factor, no thermal factor.

```
CePuP2Pd2
1.0
4.208 0.000 0.000
-2.104 3.644 0.000
0.000 0.000 7.724
Ce Pu P Pd
1 1 2 2
direct
0.000 0.000 0.000 Ce
0.000 0.000 0.500 Pu
0.333 0.667 0.752 P
0.667 0.333 0.248 P
0.333 0.667 0.253 Pd
0.667 0.333 0.747 Pd
```

Top 12 peaks for 15 to 90 degrees two-theta, in order of falling intensity:
33.82°, rel. 1000; 42.99°, rel. 470; 65.62°, rel. 250; 55.78°, rel. 240; 24.42°, rel. 230; 72.91°, rel. 217; 27.05°, rel. 178; 78.82°, rel. 178; 47.06°, rel. 106; 53.72°, rel. 60; 50.06°, rel. 36; 86.86°, rel. 33

[10]
For CeSb2P2Pd7, a GGA-PBE-relaxed structure gives the computed X-ray diffraction stick pattern in this record (Cu Ka).
Kinematic intensities with the Lorentz-polarization factor, no thermal factor.

```
CeSb2P2Pd7
1.0
2.928 -3.459 0.000
2.928 3.459 0.000
-0.567 0.000 11.407
Ce Sb P Pd
1 2 2 7
direct
0.000 0.000 0.000 Ce
0.147 0.147 0.385 Sb
0.853 0.853 0.615 Sb
0.310 0.310 0.814 P
0.690 0.690 0.186 P
0.169 0.577 0.224 Pd
0.344 0.344 0.600 Pd
0.423 0.831 0.776 Pd
0.500 0.500 0.000 Pd
0.577 0.169 0.224 Pd
0.656 0.656 0.400 Pd
0.831 0.423 0.776 Pd
```

Top 12 peaks for 15 to 90 degrees two-theta, in order of falling intensity:
40.89°, rel. 1000; 30.22°, rel. 934; 39.50°, rel. 594; 52.99°, rel. 588; 37.87°, rel. 577; 35.07°, rel. 481; 35.18°, rel. 459; 25.77°, rel. 344; 63.01°, rel. 326; 31.97°, rel. 203; 44.11°, rel. 202; 41.02°, rel. 195

[11]
For Ce5PmP6, a GGA-PBE-relaxed structure gives the computed X-ray diffraction stick pattern in this record (Cu Ka).
Kinematic intensities with the Lorentz-polarization factor, no thermal factor.

```
Ce5PmP6
1.0
3.549 -6.146 0.000
3.549 6.146 0.000
-2.365 0.000 6.690
Ce Pm P
5 1 6
direct
0.000 0.000 0.000 Ce
0.167 0.833 0.500 Ce
0.334 0.666 0.000 Ce
0.666 0.334 0.000 Ce
0.833 0.167 0.500 Ce
0.500 0.500 0.500 Pm
0.080 0.416 0.249 P
0.248 0.248 0.752 P
0.416 0.080 0.249 P
0.584 0.920 0.751 P
0.752 0.752 0.248 P
0.920 0.584 0.751 P
```

Top 10 peaks for 15 to 90 degrees two-theta, in order of falling intensity:
30.86°, rel. 1000; 26.65°, rel. 777; 44.21°, rel. 729; 52.37°, rel. 381; 73.02°, rel. 325; 54.89°, rel. 255; 81.35°, rel. 245; 70.89°, rel. 153; 87.47°, rel. 119; 64.30°, rel. 118

[12]
For Ce3PmP4, a GGA-PBE-relaxed structure gives the computed X-ray diffraction stick pattern in this record (Cu Ka).
Kinematic intensities with the Lorentz-polarization factor, no thermal factor.

```
Ce3PmP4
1.0
8.203 0.000 0.000
0.000 11.598 0.000
0.000 0.000 4.101
Ce Pm P
6 2 8
direct
0.000 0.000 0.000 Ce
0.250 0.250 0.500 Ce
0.250 0.750 0.500 Ce
0.500 0.500 0.000 Ce
0.750 0.250 0.500 Ce
0.750 0.750 0.500 Ce
0.000 0.500 0.000 Pm
0.500 0.000 0.000 Pm
0.000 0.249 0.000 P
0.000 0.751 0.000 P
0.246 0.000 0.500 P
0.254 0.500 0.500 P
0.500 0.251 0.000 P
0.500 0.749 0.000 P
0.746 0.500 0.500 P
0.754 0.000 0.500 P
```

Top 10 peaks for 15 to 90 degrees two-theta, in order of falling intensity:
30.84°, rel. 1000; 26.62°, rel. 780; 44.17°, rel. 730; 52.32°, rel. 383; 72.95°, rel. 326; 54.84°, rel. 255; 81.27°, rel. 246; 70.82°, rel. 154; 87.37°, rel. 120; 64.24°, rel. 118